# Nd3Er2Se8
Computed X-ray powder pattern, λ = 1.5418 Å (Cu Kα). Input: DFT lattice parameters and positions (GGA-PBE).
Intensities are scaled so that the largest is 1000.

Atomic structure:
Cell: 8.3714 8.3714 7.1381 Å, 107.31 107.31 60.04°
Atoms (fractional coordinates):
Nd 0.0000 0.0000 0.0000
Nd 0.2630 0.7370 0.5000
Nd 0.7370 0.2630 0.5000
Er 0.2574 0.2574 0.8408
Er 0.7426 0.7426 0.1592
Se 0.1099 0.6326 0.0814
Se 0.1235 0.1235 0.4338
Se 0.3674 0.8901 0.9186
Se 0.3817 0.3817 0.6141
Se 0.6183 0.6183 0.3859
Se 0.6326 0.1099 0.0814
Se 0.8765 0.8765 0.5662
Se 0.8901 0.3674 0.9186

Main lines, low angle first (2θ = 5–70°):
2θ/deg	I_rel
19.74	657
22.23	470
24.96	324
26.10	566
32.97	1000
33.62	465
39.58	362
39.88	778
43.20	369
43.76	704



# Nd2ErTe2Se2
Computed X-ray powder pattern, λ = 1.5418 Å (Cu Kα). Input: DFT lattice parameters and positions (GGA-PBE).
Intensities are scaled so that the largest is 1000.

Atomic structure:
Cell: 5.2596 5.2596 16.0227 Å, 90.00 90.00 90.00°
Atoms (fractional coordinates):
Nd 0.0000 0.0000 0.1182
Nd 0.0000 0.0000 0.8818
Nd 0.5000 0.5000 0.3818
Nd 0.5000 0.5000 0.6182
Er 0.0000 0.0000 0.5000
Er 0.5000 0.5000 0.0000
Te 0.0000 0.0000 0.3140
Te 0.0000 0.0000 0.6860
Te 0.5000 0.5000 0.1860
Te 0.5000 0.5000 0.8140
Se 0.0000 0.5000 0.0000
Se 0.0000 0.5000 0.5000
Se 0.5000 0.0000 0.0000
Se 0.5000 0.0000 0.5000

Main lines, low angle first (2θ = 5–70°):
2θ/deg	I_rel
11.04	255
23.93	816
32.72	1000
32.86	206
34.09	832
47.98	685
48.59	156
48.98	298
55.22	174
60.19	244



# Nd3Er2ThSe6
Computed X-ray powder pattern, λ = 1.5418 Å (Cu Kα). Input: DFT lattice parameters and positions (GGA-PBE).
Intensities are scaled so that the largest is 1000.

Atomic structure:
Cell: 9.2870 9.2870 8.4114 Å, 102.24 102.24 25.68°
Atoms (fractional coordinates):
Nd 0.0000 0.0000 0.0000
Nd 0.3399 0.3399 0.6659
Nd 0.6601 0.6601 0.3341
Er 0.3343 0.3343 0.1686
Er 0.6657 0.6657 0.8314
Th 0.0000 0.0000 0.5000
Se 0.1701 0.1701 0.5986
Se 0.1714 0.1714 0.0745
Se 0.4930 0.4930 0.2449
Se 0.5070 0.5070 0.7551
Se 0.8286 0.8286 0.9255
Se 0.8299 0.8299 0.4014

Main lines, low angle first (2θ = 5–70°):
2θ/deg	I_rel
26.36	113
30.34	1000
43.02	127
43.20	250
43.69	240
43.87	123
53.13	67
53.96	64
54.27	128
63.12	119



# Nd4Er3ThSe8
Computed X-ray powder pattern, λ = 1.5418 Å (Cu Kα). Input: DFT lattice parameters and positions (GGA-PBE).
Intensities are scaled so that the largest is 1000.

Atomic structure:
Cell: 8.3617 8.3617 8.3617 Å, 59.32 59.32 59.32°
Atoms (fractional coordinates):
Nd 0.0000 0.0000 0.0000
Nd 0.0000 0.5000 0.5000
Nd 0.5000 0.0000 0.5000
Nd 0.5000 0.5000 0.0000
Er 0.0000 0.0000 0.5000
Er 0.0000 0.5000 0.0000
Er 0.5000 0.0000 0.0000
Th 0.5000 0.5000 0.5000
Se 0.2379 0.7496 0.7496
Se 0.2438 0.2438 0.2438
Se 0.2504 0.2504 0.7621
Se 0.2504 0.7621 0.2504
Se 0.7496 0.2379 0.7496
Se 0.7496 0.7496 0.2379
Se 0.7562 0.7562 0.7562
Se 0.7621 0.2504 0.2504

Main lines, low angle first (2θ = 5–70°):
2θ/deg	I_rel
25.97	58
26.33	165
30.39	1000
43.29	374
43.75	369
51.17	32
51.59	58
53.41	66
54.21	195
63.24	121



# Nd3ErSi4
Computed X-ray powder pattern, λ = 1.5418 Å (Cu Kα). Input: DFT lattice parameters and positions (GGA-PBE).
Intensities are scaled so that the largest is 1000.

Atomic structure:
Cell: 4.2046 6.2664 15.9775 Å, 90.00 90.00 90.00°
Atoms (fractional coordinates):
Nd 0.0000 0.0000 0.0000
Nd 0.0000 0.5000 0.1935
Nd 0.0000 0.5000 0.8065
Nd 0.5000 0.0000 0.3065
Nd 0.5000 0.0000 0.6935
Nd 0.5000 0.5000 0.5000
Er 0.0000 0.0000 0.5000
Er 0.5000 0.5000 0.0000
Si 0.0000 0.3142 0.3706
Si 0.0000 0.3142 0.6294
Si 0.0000 0.6858 0.3706
Si 0.0000 0.6858 0.6294
Si 0.5000 0.1858 0.1294
Si 0.5000 0.1858 0.8706
Si 0.5000 0.8142 0.1294
Si 0.5000 0.8142 0.8706

Main lines, low angle first (2θ = 5–70°):
2θ/deg	I_rel
27.89	1000
28.49	224
31.42	143
34.11	202
36.45	163
39.67	154
43.03	139
50.08	194
52.81	178
68.76	129



# Nd3Er3Si4
Computed X-ray powder pattern, λ = 1.5418 Å (Cu Kα). Input: DFT lattice parameters and positions (GGA-PBE).
Intensities are scaled so that the largest is 1000.

Atomic structure:
Cell: 4.3408 7.5385 7.5385 Å, 90.70 90.00 90.00°
Atoms (fractional coordinates):
Nd 0.0000 0.0000 0.0000
Nd 0.0000 0.4956 0.8512
Nd 0.0000 0.8512 0.4956
Er 0.0000 0.3520 0.3520
Er 0.5000 0.1745 0.6758
Er 0.5000 0.6758 0.1745
Si 0.5000 0.0665 0.2943
Si 0.5000 0.2943 0.0665
Si 0.5000 0.5534 0.5534
Si 0.5000 0.7874 0.7874

Main lines, low angle first (2θ = 5–70°):
2θ/deg	I_rel
26.31	189
26.42	242
26.56	400
31.43	1000
33.56	413
33.78	544
37.59	249
37.88	251
41.61	253
67.03	185



# Nd3SmEr6
Computed X-ray powder pattern, λ = 1.5418 Å (Cu Kα). Input: DFT lattice parameters and positions (GGA-PBE).
Intensities are scaled so that the largest is 1000.

Atomic structure:
Cell: 13.0344 3.5299 14.3155 Å, 90.00 100.26 90.00°
Atoms (fractional coordinates):
Nd 0.0753 0.2500 0.1006
Nd 0.3717 0.7500 0.4960
Nd 0.4208 0.2500 0.9020
Nd 0.5792 0.7500 0.0980
Nd 0.6283 0.2500 0.5040
Nd 0.9247 0.7500 0.8994
Sm 0.0406 0.2500 0.7203
Sm 0.9594 0.7500 0.2797
Er 0.1197 0.2500 0.4864
Er 0.1938 0.7500 0.9257
Er 0.2211 0.7500 0.2867
Er 0.2708 0.7500 0.7001
Er 0.3453 0.2500 0.1226
Er 0.4993 0.7500 0.3092
Er 0.5007 0.2500 0.6908
Er 0.6547 0.7500 0.8774
Er 0.7292 0.2500 0.2999
Er 0.7789 0.2500 0.7133
Er 0.8062 0.2500 0.0743
Er 0.8803 0.7500 0.5136

Main lines, low angle first (2θ = 5–70°):
2θ/deg	I_rel
30.11	516
30.84	707
31.75	1000
32.68	507
32.90	343
37.00	309
49.11	197
51.80	171
61.50	218
62.05	161



# Nd2Sm9Er
Computed X-ray powder pattern, λ = 1.5418 Å (Cu Kα). Input: DFT lattice parameters and positions (GGA-PBE).
Intensities are scaled so that the largest is 1000.

Atomic structure:
Cell: 11.4573 11.4573 3.5385 Å, 90.00 90.00 120.00°
Atoms (fractional coordinates):
Nd 0.3333 0.6667 0.0000
Nd 0.6667 0.3333 0.0000
Sm 0.0000 0.5000 0.0000
Sm 0.1718 0.3436 0.5000
Sm 0.1718 0.8282 0.5000
Sm 0.3436 0.1718 0.5000
Sm 0.5000 0.0000 0.0000
Sm 0.5000 0.5000 0.0000
Sm 0.6564 0.8282 0.5000
Sm 0.8282 0.1718 0.5000
Sm 0.8282 0.6564 0.5000
Er 0.0000 0.0000 0.0000

Main lines, low angle first (2θ = 5–70°):
2θ/deg	I_rel
29.68	258
31.04	533
31.23	1000
37.21	144
44.61	194
49.34	124
55.46	203
55.57	192
61.62	287
65.13	117